1.
Calculated powder diffractogram
Compound: Gd3CuGeS7
Radiation: copper Kα
Structure: a crystal structure in Alexandria, relaxed with GGA-PBE
Kinematic intensities with the Lorentz-polarization factor, no thermal factor.

Most intense lines, 2θ from 10° to 90°, low angle first:
2theta	I (rel.)	index
23.44	270	1 1 1
25.63	1000	2 0 1
27.28	239	2 1 0
30.62	260	0 0 2
35.97	460	2 2 0
37.49	320	3 1 0
40.66	289	1 3 1
41.46	357	2 1 2
47.93	259	2 2 2
49.15	207	3 1 2

Structure:
a b c (Å): 9.9883 9.9883 5.8396
angles (deg): 90.00 90.00 120.00
Space group P6_3 (No. 173)
Unique sites:
Gd 0.1307 0.7737 0.0000 (multiplicity 6)
Cu 0.0000 0.0000 0.4508 (multiplicity 2)
Ge 0.3333 0.6667 0.5825 (multiplicity 2)
S 0.0959 0.8395 0.4681 (multiplicity 6)
S 0.0999 0.5194 0.7418 (multiplicity 6)
S 0.3333 0.6667 0.2050 (multiplicity 2)


2.
Calculated powder diffractogram
Compound: SnPO4
Radiation: copper Kα
Structure: a crystal structure in Alexandria, relaxed with GGA-PBE
Kinematic intensities with the Lorentz-polarization factor, no thermal factor.

Most intense lines, 2θ from 10° to 90°, low angle first:
2theta	I (rel.)	index
14.44	445	1 2 0
18.03	664	1 3 0
18.62	1000	0 1 1
22.13	555	2 1 0
23.68	766	2 2 0
25.57	864	1 3 1
28.23	511	2 0 1
28.66	788	1 4 1
30.29	1000	0 5 1
31.85	933	2 3 1

Structure:
a b c (Å): 8.2314 18.4052 4.9346
angles (deg): 90.00 90.00 90.00
Space group Pna2_1 (No. 33)
Unique sites:
Sn 0.0643 0.2235 0.0000 (multiplicity 4)
Sn 0.1873 0.4515 0.9059 (multiplicity 4)
P 0.2228 0.5610 0.3630 (multiplicity 4)
P 0.2329 0.8399 0.8787 (multiplicity 4)
O 0.0440 0.5478 0.2564 (multiplicity 4)
O 0.0638 0.8537 0.7554 (multiplicity 4)
O 0.1344 0.3864 0.2255 (multiplicity 4)
O 0.1736 0.0136 0.6658 (multiplicity 4)
O 0.2151 0.2597 0.3597 (multiplicity 4)
O 0.2304 0.8645 0.1852 (multiplicity 4)
O 0.2327 0.1411 0.8589 (multiplicity 4)
O 0.2426 0.5334 0.6563 (multiplicity 4)


3.
Calculated powder diffractogram
Compound: Pm2InI
Radiation: copper Kα
Structure: a crystal structure in Alexandria, relaxed with GGA-PBE
Kinematic intensities with the Lorentz-polarization factor, no thermal factor.

Most intense lines, 2θ from 10° to 90°, low angle first:
2theta	I (rel.)	index
27.02	331	0 1 2
30.75	1000	0 1 5
34.56	657	1 0 7
38.32	250	0 0 12
46.33	440	1 1 0
56.64	175	2 0 5
59.07	161	0 2 7
61.64	367	1 1 12
62.33	141	0 1 17
76.09	146	1 2 5

Structure:
a b c (Å): 3.9196 3.9196 28.1859
angles (deg): 90.00 90.00 120.00
Space group R3m (No. 160, hexagonal axes)
Unique sites:
Pm 0.0000 0.0000 0.0000 (multiplicity 3)
Pm 0.0000 0.0000 0.1705 (multiplicity 3)
In 0.0000 0.0000 0.5853 (multiplicity 3)
I 0.0000 0.0000 0.4181 (multiplicity 3)


4.
Calculated powder diffractogram
Compound: Ca5MoN4Cl2
Radiation: copper Kα
Structure: a crystal structure in Alexandria, relaxed with GGA-PBE
Kinematic intensities with the Lorentz-polarization factor, no thermal factor.

Most intense lines, 2θ from 10° to 90°, low angle first:
2theta	I (rel.)	index
11.55	249	1 0 0
17.17	258	0 1 1
29.01	1000	2 1 1
30.02	177	2 2 0
31.28	321	1 0 2
31.88	830	0 3 1
34.01	248	1 3 1
42.21	562	2 2 2
56.25	207	2 5 1
58.51	196	0 6 0

Structure:
a b c (Å): 7.6620 9.4587 6.1636
angles (deg): 90.00 90.00 90.00
Space group Amm2 (No. 38)
Unique sites:
Ca 0.0000 0.0000 0.0000 (multiplicity 2)
Ca 0.2983 0.1785 0.3726 (multiplicity 8)
Mo 0.5000 0.0000 0.8813 (multiplicity 2)
N 0.3037 0.0000 0.0786 (multiplicity 4)
N 0.5000 0.1636 0.6937 (multiplicity 4)
Cl 0.0000 0.2037 0.6644 (multiplicity 4)